This entry pairs a crystal structure of AlSnO3 with its calculated powder X-ray diffraction pattern. Radiation: Cu Ka. Structure: a GGA-PBE-relaxed structure.

The 8 most intense peaks (10° ≤ 2θ ≤ 90°), by angle:
d (Å)	2θ (°)	I/Imax	index
4.613	19.24	55	0 0 2
3.714	23.96	56	1 1 -1
3.002	29.76	100	1 1 1
2.795	32.03	77	1 1 -3
2.644	33.90	34	2 0 -2
2.608	34.38	26	0 2 0
2.270	39.70	26	0 2 2
1.857	49.06	25	2 2 -2

Crystal structure
a = 5.3174 Å, b = 5.2165 Å, c = 10.2011 Å
α = 90.00°, β = 115.26°, γ = 90.00°
Fractional coordinates of all 20 atoms:
Al 0.1955 0.0310 0.2447
Al 0.1955 0.4690 0.7447
Al 0.8046 0.5310 0.2553
Al 0.8046 0.9690 0.7553
Sn 0.0000 0.0000 0.5000
Sn 0.0000 0.5000 0.0000
Sn 0.5000 0.0000 0.0000
Sn 0.5000 0.5000 0.5000
O 0.1296 0.7059 0.2917
O 0.1296 0.7941 0.7917
O 0.2436 0.1149 0.0886
O 0.2436 0.3851 0.5886
O 0.4698 0.1717 0.3922
O 0.4698 0.3283 0.8922
O 0.5302 0.6717 0.1078
O 0.5302 0.8283 0.6078
O 0.7564 0.6149 0.4114
O 0.7564 0.8851 0.9114
O 0.8704 0.2059 0.2083
O 0.8704 0.2941 0.7083